Structure and calculated X-ray powder pattern of SbSBr3F6 (a structure optimized by DFT (PBE); Cu Kα).
Kinematic intensities with the Lorentz-polarization factor, no thermal factor.

The 6 most intense peaks (2θ = 15–90°), sorted by position:
| 2θ/deg | I_rel | hkl |
| --- | --- | --- |
| 20.74 | 100 | 1 1 2 |
| 21.40 | 42 | 2 0 0 |
| 24.66 | 43 | 1 2 -2 |
| 25.91 | 32 | 2 1 -2 |
| 29.10 | 26 | 1 0 -4 |
| 29.35 | 26 | 1 3 0 |

Atomic structure:
```
data_SbSBr3F6
_symmetry_space_group_name_H-M 'P 1 21/c 1'
_symmetry_Int_Tables_number 14
_symmetry_space_group_name_Hall '-P 2ybc'
_cell_length_a 8.3634
_cell_length_b 9.8117
_cell_length_c 12.6963
_cell_angle_alpha 90.00
_cell_angle_beta 96.72
_cell_angle_gamma 90.00
loop_
_atom_site_label
_atom_site_fract_x
_atom_site_fract_y
_atom_site_fract_z
_atom_site_occupancy
Sb1 0.2045 0.2277 0.0613 1
S1 0.2065 0.6969 0.7127 1
Br1 0.2067 0.5964 0.2753 1
Br2 0.2630 0.5660 0.8516 1
Br3 0.4223 0.6894 0.6306 1
F1 0.0002 0.2216 0.4869 1
F2 0.1220 0.0521 0.0943 1
F3 0.1403 0.2000 0.6906 1
F4 0.2699 0.1560 0.9310 1
F5 0.2916 0.0970 0.5277 1
F6 0.4114 0.1789 0.1325 1
```